For La6Al4Fe9As, a DFT-relaxed cell (GGA-PBE, the Materials Project) gives the simulated PXRD pattern in this record (Cu Kα).
No peak broadening, texture or thermal motion is included.

Crystal structure
```
La6Al4Fe9As
1.0
-4.0812 4.0812 11.9042
4.0812 -4.0812 11.9042
4.0812 4.0812 -11.9042
La Al Fe As
12 8 18 2
Cartesian
2.7198 -1.3614 4.5035
0.0000 0.0000 2.5088
5.4427 -1.3614 7.4007
5.4427 1.3614 4.5035
0.0000 0.0000 9.3954
2.7198 1.3614 7.4007
1.3614 2.7198 4.5035
0.0000 0.0000 14.4130
-1.3614 2.7198 7.4007
-1.3614 5.4427 4.5035
0.0000 0.0000 21.2996
1.3614 5.4427 7.4007
3.1153 0.9659 -2.1729
3.1153 0.9659 2.1729
3.1153 -0.9659 9.7313
3.1153 -0.9659 14.0771
0.9659 5.0471 -2.1729
0.9659 5.0471 2.1729
0.9659 3.1153 9.7313
0.9659 3.1153 14.0771
4.0812 0.0000 0.0000
1.7220 0.5498 0.0000
5.5186 1.4374 -1.3258
3.5314 -2.3592 11.9042
5.5186 1.4374 1.3258
1.4374 2.6438 -1.3258
3.5314 2.3592 0.0000
1.4374 2.6438 1.3258
1.7220 -0.5498 11.9042
0.0000 4.0812 0.0000
2.3592 4.6310 0.0000
2.6438 1.4374 10.5784
0.5498 1.7220 11.9042
2.6438 1.4374 13.2300
-1.4374 2.6438 10.5784
0.5498 6.4405 0.0000
-1.4374 2.6438 13.2300
2.3592 3.5314 11.9042
0.0000 0.0000 5.9521
0.0000 0.0000 17.8563
```

Most intense lines, 2θ = 10–90°, by intensity:
2θ 26.88, I 100; 2θ 34.76, I 94; 2θ 37.40, I 80; 2θ 30.87, I 79; 2θ 46.00, I 50; 2θ 49.88, I 45; 2θ 36.09, I 43; 2θ 57.00, I 41; 2θ 33.89, I 39; 2θ 24.67, I 38


For La6Al3Fe10As, a DFT-relaxed cell (GGA-PBE, the Materials Project) gives the simulated PXRD pattern in this record (Cu Kα).
No peak broadening, texture or thermal motion is included.

Crystal structure
```
La6Al3Fe10As
1.0
0.0000 5.7680 11.6626
5.7221 0.0000 11.6626
5.7221 5.7680 0.0000
La Al Fe As
12 6 20 2
Cartesian
5.7221 1.8475 11.6626
2.8610 2.8840 4.8666
9.5043 5.7680 14.5895
7.7825 5.7680 11.7647
2.8610 2.8840 9.8596
5.7221 3.7939 14.5085
3.6617 5.7680 11.7647
8.5831 8.6520 16.5293
5.7221 7.7422 14.5085
5.7221 9.6886 11.6626
8.5831 8.6520 21.5222
1.9399 5.7680 14.5895
5.7221 4.4008 5.2000
5.7221 4.4078 9.5407
5.7221 7.1352 5.2000
5.7221 7.1283 9.5407
7.1058 5.7680 16.8381
4.3384 5.7680 16.8381
10.1323 5.7680 9.5241
6.9750 3.6850 7.3929
5.7221 1.9908 8.7006
7.7144 5.7680 6.0998
3.6681 1.2740 7.3682
7.8027 5.7680 8.7555
4.4692 3.6850 7.3929
5.7221 5.7680 7.4069
6.9750 7.8510 7.3929
3.7298 5.7680 6.0998
2.0540 4.4940 7.3682
3.6415 5.7680 8.7555
5.7221 3.7468 17.6763
4.4692 7.8510 7.3929
5.7221 9.5453 8.7006
7.7761 7.0420 19.0308
1.3118 5.7680 9.5241
5.7221 5.7680 18.9920
9.3902 10.2621 19.0308
5.7221 7.7893 17.6763
2.8610 2.8840 1.5311
8.5831 8.6520 13.1937
```

Most intense lines, 2θ = 10–90°, by intensity:
2θ 37.99, I 100; 2θ 31.27, I 71; 2θ 34.84, I 66; 2θ 27.16, I 57; 2θ 27.02, I 54; 2θ 35.01, I 49; 2θ 34.49, I 47; 2θ 31.14, I 47; 2θ 42.86, I 45; 2θ 50.36, I 44